Starting from a DFT-relaxed cell (GGA+U, the Materials Project), the powder diffractogram of Li2V3O3F5 was computed for Cu Kα, 1.54184 Å.
Intensities are scaled so that the largest is 100.

Cell and atoms:
```
data_Li2V3O3F5
_symmetry_space_group_name_H-M 'P 1'
_symmetry_Int_Tables_number 1
_cell_length_a 5.894
_cell_length_b 5.933
_cell_length_c 5.935
_cell_angle_alpha 60.44
_cell_angle_beta 60.84
_cell_angle_gamma 62.02
loop_
_symmetry_equiv_pos_as_xyz
'x,y,z'
loop_
_atom_site_label
_atom_site_type_symbol
_atom_site_fract_x
_atom_site_fract_y
_atom_site_fract_z
_atom_site_occupancy
Li1 Li 0.000 0.000 0.000 1
Li2 Li 0.270 0.240 0.224 1
V1 V 0.154 0.636 0.594 1
V2 V 0.619 0.623 0.598 1
V3 V 0.638 0.120 0.611 1
O1 O 0.378 0.848 0.393 1
O2 O 0.392 0.372 0.825 1
O3 O 0.865 0.853 0.415 1
F1 F 0.377 0.369 0.388 1
F2 F 0.400 0.867 0.838 1
F3 F 0.874 0.369 0.377 1
F4 F 0.890 0.392 0.822 1
F5 F 0.895 0.867 0.840 1
```

Main lines, in order of rising 2θ (2θ from 15° to 90°):
2θ = 18.05°, rel. 16
2θ = 18.23°, rel. 100
2θ = 29.89°, rel. 9
2θ = 34.76°, rel. 15
2θ = 35.05°, rel. 15
2θ = 35.99°, rel. 13
2θ = 42.33°, rel. 26
2θ = 42.73°, rel. 25
2θ = 43.54°, rel. 24
2θ = 62.65°, rel. 14